CdRu2PbO8: theoretical PXRD pattern (Cu Kα), based on a structure optimized by DFT (GGA-PBE).
Intensities are scaled so that the largest is 100.

Cell and atoms:
Unit cell a=5.2602 b=5.2602 c=23.0108 alpha=90.00 beta=90.00 gamma=120.00
Space group R32 (No. 155, hexagonal axes)
Unique sites:
Cd 0.0000 0.0000 0.0000
Ru 0.0000 0.0000 0.2499
Pb 0.0000 0.0000 0.5000
O 0.0000 0.0000 0.1718
O 0.0052 0.3475 0.0647

Most intense lines, 2θ from 10° to 80°, sorted by position:
2θ = 24.93°, I = 100, hkl 1 0 4
2θ = 34.09°, I = 46, hkl 1 1 0
2θ = 36.96°, I = 35, hkl 0 1 8
2θ = 42.70°, I = 24, hkl 0 2 4
2θ = 51.15°, I = 13, hkl 2 0 8
2θ = 55.73°, I = 22, hkl 2 1 4
2θ = 59.67°, I = 20, hkl 1 1 12
2θ = 61.02°, I = 12, hkl 3 0 0
2θ = 62.91°, I = 15, hkl 1 2 8
2θ = 77.32°, I = 9, hkl 1 3 4

=====

PmPaZnGe: theoretical PXRD pattern (Cu Kα), based on a structure optimized by DFT (GGA-PBE).
Intensities are scaled so that the largest is 100.

Cell and atoms:
Unit cell a=7.193 b=7.193 c=7.193 alpha=90.00 beta=90.00 gamma=90.00
Space group F-43m (No. 216)
Unique sites:
Pm 0.000 0.000 0.000
Pa 0.000 0.000 0.500
Zn 0.250 0.250 0.750
Ge 0.250 0.250 0.250

Most intense lines, 2θ from 10° to 80°, sorted by position:
2θ = 21.40°, I = 5, hkl 1 1 1
2θ = 24.76°, I = 23, hkl 2 0 0
2θ = 35.29°, I = 100, hkl 2 2 0
2θ = 41.65°, I = 3, hkl 3 1 1
2θ = 43.59°, I = 7, hkl 2 2 2
2θ = 50.77°, I = 18, hkl 4 0 0
2θ = 55.71°, I = 1, hkl 3 3 1
2θ = 57.28°, I = 10, hkl 4 2 0
2θ = 63.35°, I = 37, hkl 4 2 2
2θ = 74.65°, I = 11, hkl 4 4 0

=====

Pm2GaHg3: theoretical PXRD pattern (Cu Kα), based on a structure optimized by DFT (GGA-PBE).
Intensities are scaled so that the largest is 100.

Cell and atoms:
Unit cell a=7.311 b=9.679 c=16.845 alpha=90.00 beta=90.00 gamma=90.00
Space group Fmmm (No. 69)
Unique sites:
Pm 0.244 0.000 0.000
Pm 0.250 0.250 0.250
Ga 0.000 0.000 0.334
Hg 0.000 0.000 0.171
Hg 0.000 0.242 0.415

Most intense lines, 2θ from 10° to 80°, sorted by position:
2θ = 24.35°, I = 12, hkl 2 0 0
2θ = 32.47°, I = 100, hkl 2 2 2
2θ = 37.02°, I = 55, hkl 0 2 6
2θ = 37.16°, I = 27, hkl 0 4 0
2θ = 44.81°, I = 10, hkl 2 2 6
2θ = 49.94°, I = 22, hkl 4 0 0
2θ = 50.13°, I = 20, hkl 2 4 4
2θ = 63.77°, I = 43, hkl 4 2 6
2θ = 63.90°, I = 10, hkl 2 4 8
2θ = 66.89°, I = 10, hkl 0 6 6

=====

Rb2Sb4Pd3: theoretical PXRD pattern (Cu Kα), based on a structure optimized by DFT (GGA-PBE).
Intensities are scaled so that the largest is 100.

Cell and atoms:
Unit cell a=6.126 b=10.311 c=18.060 alpha=90.00 beta=90.00 gamma=90.00
Space group Fmmm (No. 69)
Unique sites:
Rb 0.000 0.000 0.177
Sb 0.000 0.166 0.387
Pd 0.000 0.000 0.500
Pd 0.250 0.250 0.000

Most intense lines, 2θ from 10° to 80°, sorted by position:
2θ = 17.54°, I = 83, hkl 1 1 1
2θ = 19.83°, I = 41, hkl 0 2 2
2θ = 29.16°, I = 38, hkl 2 0 0
2θ = 30.23°, I = 52, hkl 1 3 1
2θ = 33.39°, I = 100, hkl 1 3 3
2θ = 35.43°, I = 67, hkl 2 0 4
2θ = 39.05°, I = 41, hkl 1 3 5
2θ = 39.62°, I = 56, hkl 2 2 4
2θ = 45.78°, I = 50, hkl 2 2 6
2θ = 48.55°, I = 30, hkl 1 1 9

=====

Nd2HoEr5: theoretical PXRD pattern (Cu Kα), based on a structure optimized by DFT (GGA-PBE).
Intensities are scaled so that the largest is 100.

Cell and atoms:
Unit cell a=6.074 b=8.954 c=10.321 alpha=107.29 beta=99.26 gamma=98.66
Space group P-1 (No. 2)
Unique sites:
Nd 0.015 0.144 0.285
Nd 0.296 0.819 0.191
Ho 0.000 0.500 0.500
Ho 0.500 0.500 0.000
Er 0.038 0.571 0.860
Er 0.157 0.196 0.643
Er 0.290 0.127 0.022
Er 0.406 0.836 0.544
Er 0.469 0.461 0.324

Most intense lines, 2θ from 10° to 80°, sorted by position:
2θ = 26.41°, I = 16, hkl 1 0 2
2θ = 30.58°, I = 31, hkl -2 1 1
2θ = 31.91°, I = 24, hkl 1 1 2
2θ = 32.10°, I = 100, hkl 1 2 -3
2θ = 32.37°, I = 27, hkl 1 -1 3
2θ = 32.72°, I = 59, hkl -1 1 3
2θ = 33.45°, I = 24, hkl 2 -2 0
2θ = 33.59°, I = 16, hkl 1 -2 3
2θ = 33.74°, I = 19, hkl 1 -3 2
2θ = 34.50°, I = 21, hkl 2 1 0

=====

DyTm4Th2: theoretical PXRD pattern (Cu Kα), based on a structure optimized by DFT (GGA-PBE).
Intensities are scaled so that the largest is 100.

Cell and atoms:
Unit cell a=3.441 b=8.486 c=8.599 alpha=62.35 beta=89.56 gamma=82.32
Space group P-1 (No. 2)
Unique sites:
Dy 0.000 0.000 0.000
Tm 0.039 0.449 0.716
Tm 0.376 0.848 0.420
Th 0.413 0.719 0.867

Most intense lines, 2θ from 10° to 80°, sorted by position:
2θ = 29.90°, I = 51, hkl -1 1 1
2θ = 30.45°, I = 24, hkl 1 -1 0
2θ = 31.02°, I = 100, hkl 0 1 -2
2θ = 32.13°, I = 86, hkl 0 2 3
2θ = 32.34°, I = 85, hkl 0 3 1
2θ = 32.97°, I = 56, hkl 1 2 0
2θ = 33.35°, I = 57, hkl 1 1 2
2θ = 38.36°, I = 24, hkl 1 -2 0
2θ = 55.77°, I = 24, hkl 0 1 5
2θ = 56.17°, I = 30, hkl 0 4 -1

=====

Pm2Y2ErSc: theoretical PXRD pattern (Cu Kα), based on a structure optimized by DFT (GGA-PBE).
Intensities are scaled so that the largest is 100.

Cell and atoms:
Unit cell a=7.017 b=5.563 c=9.636 alpha=90.00 beta=90.00 gamma=90.00
Space group Pmma (No. 51)
Unique sites:
Pm 0.250 0.000 0.147
Pm 0.250 0.500 0.685
Y 0.000 0.000 0.500
Y 0.250 0.500 0.343
Er 0.000 0.500 0.000
Sc 0.250 0.000 0.821

Most intense lines, 2θ from 10° to 80°, sorted by position:
2θ = 22.38°, I = 19, hkl 1 1 1
2θ = 31.54°, I = 100, hkl 2 1 1
2θ = 32.18°, I = 97, hkl 0 2 0
2θ = 45.68°, I = 34, hkl 2 0 4
2θ = 52.14°, I = 9, hkl 4 0 0
2θ = 56.98°, I = 35, hkl 2 3 1
2θ = 57.38°, I = 17, hkl 0 3 3
2θ = 62.60°, I = 28, hkl 4 2 0
2θ = 67.33°, I = 10, hkl 0 4 0
2θ = 76.25°, I = 14, hkl 2 4 2

=====

ZnCd11In17: theoretical PXRD pattern (Cu Kα), based on a structure optimized by DFT (GGA-PBE).
Intensities are scaled so that the largest is 100.

Cell and atoms:
Unit cell a=11.361 b=16.095 c=9.817 alpha=90.00 beta=125.30 gamma=90.00
Space group Cm (No. 8)
Unique sites:
Zn 0.000 0.000 0.000
Cd 0.181 0.188 0.615
Cd 0.272 0.093 0.177
Cd 0.320 0.500 0.641
Cd 0.373 0.188 0.997
Cd 0.400 0.406 0.432
Cd 0.467 0.093 0.807
In 0.016 0.168 0.808
In 0.027 0.500 0.146
In 0.028 0.152 0.211
In 0.120 0.346 0.399
In 0.184 0.000 0.472
In 0.187 0.000 0.810
In 0.198 0.296 0.118
In 0.235 0.359 0.808
In 0.284 0.500 0.087
In 0.387 0.204 0.496
In 0.495 0.000 0.523

Most intense lines, 2θ from 10° to 80°, sorted by position:
2θ = 31.51°, I = 16, hkl 4 0 -2
2θ = 33.46°, I = 100, hkl 1 5 -2
2θ = 33.52°, I = 38, hkl 1 3 -3
2θ = 37.09°, I = 27, hkl 3 5 -2
2θ = 37.20°, I = 13, hkl 2 0 -4
2θ = 38.80°, I = 9, hkl 4 4 -2
2θ = 40.47°, I = 18, hkl 3 3 1
2θ = 40.56°, I = 9, hkl 3 3 -4
2θ = 59.77°, I = 13, hkl 2 8 2
2θ = 59.85°, I = 14, hkl 7 1 -2